[1]
Diffraction record for PuP2H2CO6. The XRD peak list is calculated, not measured: it uses a PBE-relaxed structure and CuKα.
Kinematic intensities with the Lorentz-polarization factor, no thermal factor.

Top 10 peaks for 2θ = 10–80°, low angle first:
2theta  I_rel
12.79  1000
17.87  258
22.04  594
22.67  422
26.11  311
26.26  370
31.53  408
34.68  201
36.64  180
43.26  190

Cell and atoms:
a = 8.1217 Å, b = 8.1217 Å, c = 5.4205 Å
α = 102.13°, β = 102.13°, γ = 116.86°
Fractional positions:
Pu1 0.2334 0.7666 0.0000
Pu2 0.7666 0.2334 0.0000
P1 0.1345 0.3674 0.6322
P2 0.3674 0.1345 0.6322
P3 0.6326 0.8655 0.3678
P4 0.8655 0.6326 0.3678
H1 0.0972 0.0972 0.7619
H2 0.3177 0.3177 0.9776
H3 0.6823 0.6823 0.0224
H4 0.9028 0.9028 0.2381
C1 0.2274 0.2274 0.7644
C2 0.7726 0.7726 0.2356
O1 0.0085 0.3914 0.8019
O2 0.0168 0.2604 0.3292
O3 0.2604 0.0168 0.3292
O4 0.3008 0.5827 0.7058
O5 0.3914 0.0085 0.8019
O6 0.4173 0.6992 0.2942
O7 0.5827 0.3008 0.7058
O8 0.6086 0.9915 0.1981
O9 0.6992 0.4173 0.2942
O10 0.7396 0.9832 0.6708
O11 0.9832 0.7396 0.6708
O12 0.9915 0.6086 0.1981

---

[2]
Diffraction record for PuUP4H4C2O16. The XRD peak list is calculated, not measured: it uses a PBE-relaxed structure and CuKα.
Kinematic intensities with the Lorentz-polarization factor, no thermal factor.

Top 10 peaks for 2θ = 10–80°, low angle first:
2theta  I_rel
13.20  378
15.21  1000
16.59  204
17.44  213
18.09  195
20.50  771
20.71  196
23.75  531
28.21  329
42.02  294

Cell and atoms:
a = 5.6221 Å, b = 20.3385 Å, c = 7.2133 Å
α = 90.00°, β = 99.96°, γ = 90.00°
Fractional positions:
Pu1 0.1840 0.2500 0.1529
Pu2 0.8160 0.7500 0.8471
U1 0.0000 0.0000 0.5000
U2 0.0000 0.5000 0.5000
P1 0.3033 0.6351 0.7844
P2 0.3033 0.8649 0.7844
P3 0.4048 0.1216 0.8191
P4 0.4048 0.3784 0.8191
P5 0.5952 0.6216 0.1809
P6 0.5952 0.8784 0.1809
P7 0.6967 0.1351 0.2156
P8 0.6967 0.3649 0.2156
H1 0.2800 0.5523 0.0170
H2 0.2800 0.9477 0.0170
H3 0.4508 0.0485 0.0861
H4 0.4508 0.4515 0.0861
H5 0.5492 0.5485 0.9139
H6 0.5492 0.9515 0.9139
H7 0.7200 0.0523 0.9830
H8 0.7200 0.4477 0.9830
C1 0.4267 0.5812 0.9744
C2 0.4267 0.9188 0.9744
C3 0.5733 0.0812 0.0256
C4 0.5733 0.4188 0.0256
O1 0.0342 0.7500 0.1340
O2 0.0952 0.6750 0.8480
O3 0.0952 0.8250 0.8480
O4 0.1851 0.2500 0.4030
O5 0.1887 0.0107 0.3225
O6 0.1887 0.4893 0.3225
O7 0.2094 0.5916 0.6148
O8 0.2094 0.9084 0.6148
O9 0.2432 0.0685 0.7115
O10 0.2432 0.4315 0.7115
O11 0.2641 0.1787 0.8952
O12 0.2641 0.3213 0.8952
O13 0.4256 0.6543 0.2978
O14 0.4256 0.8457 0.2978
O15 0.4945 0.1814 0.2530
O16 0.4945 0.3186 0.2530
O17 0.5055 0.6814 0.7470
O18 0.5055 0.8186 0.7470
O19 0.5744 0.1543 0.7022
O20 0.5744 0.3457 0.7022
O21 0.7359 0.6787 0.1048
O22 0.7359 0.8213 0.1048
O23 0.7568 0.5685 0.2885
O24 0.7568 0.9315 0.2885
O25 0.7906 0.0916 0.3852
O26 0.7906 0.4084 0.3852
O27 0.8113 0.5107 0.6775
O28 0.8113 0.9893 0.6775
O29 0.8149 0.7500 0.5970
O30 0.9048 0.1750 0.1520
O31 0.9048 0.3250 0.1520
O32 0.9658 0.2500 0.8660

---

[3]
Diffraction record for SmP2H2CO6. The XRD peak list is calculated, not measured: it uses a PBE-relaxed structure and CuKα.
Kinematic intensities with the Lorentz-polarization factor, no thermal factor.

Top 10 peaks for 2θ = 10–80°, low angle first:
2theta  I_rel
12.45  1000
17.84  166
21.81  676
23.54  500
26.19  389
26.71  254
30.94  578
34.24  240
43.72  220
53.37  160

Cell and atoms:
a = 8.2305 Å, b = 8.2305 Å, c = 5.3231 Å
α = 100.36°, β = 100.36°, γ = 119.46°
Fractional positions:
Sm1 0.2294 0.7706 0.0000
Sm2 0.7706 0.2294 0.0000
P1 0.1422 0.3669 0.6260
P2 0.3669 0.1422 0.6260
P3 0.6331 0.8578 0.3740
P4 0.8578 0.6331 0.3740
H1 0.0959 0.0959 0.7693
H2 0.3177 0.3177 0.9771
H3 0.6823 0.6823 0.0229
H4 0.9041 0.9041 0.2307
C1 0.2281 0.2281 0.7666
C2 0.7719 0.7719 0.2334
O1 0.0191 0.3949 0.7985
O2 0.0270 0.2635 0.3284
O3 0.2635 0.0270 0.3284
O4 0.3180 0.5832 0.6948
O5 0.3949 0.0191 0.7985
O6 0.4168 0.6820 0.3052
O7 0.5832 0.3180 0.6948
O8 0.6051 0.9809 0.2015
O9 0.6820 0.4168 0.3052
O10 0.7365 0.9730 0.6716
O11 0.9730 0.7365 0.6716
O12 0.9809 0.6051 0.2015